Record 1
Computed X-ray diffraction stick pattern
Compound: NaMnPCO7
Radiation: Cu Kα (weighted mean of Kα1 and Kα2)
Structure: DFT lattice parameters and positions (PBE+U)
Intensities are scaled so that the largest is 100.

Structure:
```
NaMnPCO7
1.0
6.1733 0.0000 0.0000
0.3274 10.2829 0.0000
0.7433 4.9797 9.5621
Na Mn P C O
4 4 4 4 28
Cartesian
0.0000 0.0000 0.0000
0.2048 5.1478 0.0103
3.8570 12.5455 5.3804
5.9139 7.6113 5.2085
1.6686 10.3882 4.0344
1.5242 5.2580 4.0219
4.6000 7.5343 1.1971
4.4415 2.4136 1.2174
1.4986 7.8504 2.0238
1.3466 2.7020 2.0397
4.6300 4.9571 3.2055
4.8051 10.0731 3.1985
1.6668 4.7804 6.3845
1.8756 9.8877 6.3942
5.1537 12.9575 8.3937
5.0607 7.8507 8.4081
0.1890 2.6068 0.9892
0.3499 7.7427 0.9606
1.1619 7.0522 3.2971
1.0569 1.8929 3.3112
1.4757 5.9820 5.8660
1.7042 4.5116 7.5841
1.8156 11.1097 5.8793
1.9208 9.6265 7.5965
1.6697 9.3549 2.3705
1.5181 4.2085 2.3828
1.8621 8.9865 5.4154
1.8201 3.8891 5.4039
2.7151 7.2621 1.2797
2.5617 2.1361 1.2691
3.4107 5.5617 3.9385
3.5858 10.6670 3.9535
5.1391 13.8833 9.3540
4.4163 3.4498 2.8840
4.9961 8.7646 9.3777
4.6005 8.5775 2.8477
5.0156 13.1853 7.1930
5.0108 8.1036 7.2057
5.3331 11.7602 8.9319
5.1971 6.6464 8.9409
4.9589 5.7313 1.9114
5.1347 10.8875 1.9372
5.7783 5.0977 4.2526
5.9426 10.1457 4.2696
```

Peak list (6 most intense, 10 to 90 degrees two-theta, low angle first)
| Position (°2θ) | d_spacing | I/Imax | (hkl) |
| --- | --- | --- | --- |
| 16.6 | 5.328 | 61 | 1 0 1 |
| 17.6 | 5.040 | 62 | 1 0 -1 |
| 19.5 | 4.560 | 47 | 0 2 0 |
| 19.7 | 4.496 | 87 | 0 2 2 |
| 25.2 | 3.531 | 96 | 0 2 -1 |
| 29.0 | 3.079 | 100 | 2 0 0 |

---

Record 2
Computed X-ray diffraction stick pattern
Compound: NaMnPCO7
Radiation: Cu Kα (weighted mean of Kα1 and Kα2)
Structure: DFT lattice parameters and positions (PBE+U)
Intensities are scaled so that the largest is 100.

Structure:
```
NaMnPCO7
1.0
5.1908 0.0000 0.0000
0.0000 6.2319 0.0000
-0.1980 0.0000 9.3872
Na Mn P C O
2 2 2 2 14
Cartesian
1.0963 0.0000 2.5750
3.8965 3.1160 6.8122
0.9716 5.0275 7.9767
4.0212 1.9115 1.4105
1.2803 1.8799 8.7898
3.7125 4.9959 0.5974
1.4511 5.0012 5.6023
3.5417 1.8853 3.7848
0.2369 4.9837 6.1315
0.6691 1.8349 0.7074
0.9031 3.0898 7.8865
0.9569 0.6892 7.8542
1.7083 5.0529 4.4005
2.1911 5.0546 0.2654
2.3617 4.9637 6.5737
2.6311 1.8477 2.8134
2.8017 1.9386 9.1217
3.2845 1.9369 4.9867
4.0359 3.8052 1.5329
4.0896 6.2058 1.5006
4.3237 4.9509 8.6798
4.7558 1.8677 3.2556
```

Peak list (6 most intense, 10 to 90 degrees two-theta, low angle first)
| Position (°2θ) | d_spacing | I/Imax | (hkl) |
| --- | --- | --- | --- |
| 17.1 | 5.192 | 100 | 0 1 1 |
| 19.7 | 4.502 | 59 | 1 0 1 |
| 22.3 | 3.988 | 47 | 1 1 0 |
| 25.3 | 3.518 | 66 | 1 0 -2 |
| 28.6 | 3.116 | 77 | 0 2 0 |
| 34.6 | 2.595 | 45 | 2 0 0 |

---

Record 3
Computed X-ray diffraction stick pattern
Compound: Na2MnPCO7
Radiation: Cu Kα (weighted mean of Kα1 and Kα2)
Structure: DFT lattice parameters and positions (PBE+U)
Intensities are scaled so that the largest is 100.

Structure:
```
Na2MnPCO7
1.0
8.3510 0.0000 0.0000
1.7558 8.2545 0.0000
0.0944 0.2821 9.1309
Na Mn P C O
8 4 4 4 28
Cartesian
0.0000 0.0000 0.0000
1.0739 4.2403 4.4805
1.9329 1.5829 2.3742
3.7370 6.2573 4.4515
4.9253 3.9252 0.1182
6.2428 8.2782 4.4426
7.6856 6.0801 0.2848
7.0608 2.1464 4.4725
3.9646 3.3569 5.6034
4.9787 7.3131 8.1861
9.0445 7.4930 5.5262
8.2889 3.1879 8.1208
2.1768 5.5704 7.5300
1.6801 0.9717 6.1362
5.5500 1.3765 7.5010
6.7024 5.1404 6.2530
4.6891 7.3773 1.5557
4.1126 3.0509 3.0985
8.0512 3.1327 1.6100
9.1596 7.1696 2.9921
1.5037 6.3538 3.7210
1.2519 4.6692 8.3823
0.5439 0.4531 5.2051
1.1536 1.5771 7.4329
2.5623 4.9150 6.1865
2.4605 1.9944 5.2624
3.4279 5.9523 8.3575
3.9500 8.1171 0.7947
3.4409 3.9776 3.7948
4.4006 8.0000 6.4369
4.7752 7.5305 2.8134
3.9022 2.9032 1.8725
4.5780 2.5951 7.2734
5.3824 6.4516 0.9068
4.8787 2.3084 3.8363
5.4538 4.7392 5.4299
4.8608 0.2578 8.3126
6.3157 5.6261 7.6630
6.0205 0.8503 6.1240
7.4465 6.2211 5.4299
6.7456 1.8917 8.3491
7.2181 3.9348 1.0769
8.4871 8.0747 3.7122
7.6541 3.8726 6.3756
9.0865 7.1643 1.7403
8.3536 3.0459 2.8503
8.7014 2.3013 0.7873
9.7118 6.9012 7.2509
```

Peak list (6 most intense, 10 to 90 degrees two-theta, low angle first)
| Position (°2θ) | d_spacing | I/Imax | (hkl) |
| --- | --- | --- | --- |
| 16.9 | 5.240 | 60 | 1 1 -1 |
| 25.6 | 3.484 | 91 | -1 1 2 |
| 27.3 | 3.261 | 88 | 2 2 0 |
| 33.3 | 2.690 | 52 | 1 3 1 |
| 33.7 | 2.656 | 46 | -1 1 3 |
| 33.9 | 2.641 | 100 | 2 -2 0 |

---

Record 4
Computed X-ray diffraction stick pattern
Compound: Na3MnPCO7
Radiation: Cu Kα (weighted mean of Kα1 and Kα2)
Structure: DFT lattice parameters and positions (PBE+U)
Intensities are scaled so that the largest is 100.

Structure:
```
Na3MnPCO7
1.0
5.2377 0.0000 0.0000
0.0000 6.8300 0.0000
-0.0290 0.0000 9.0575
Na Mn P C O
6 2 2 2 14
Cartesian
1.2555 1.7075 0.7498
1.2766 3.4375 6.6972
1.2766 6.8075 6.6972
3.9321 0.0225 2.3603
3.9321 3.3925 2.3603
3.9532 5.1225 8.3077
1.1525 5.1225 3.2669
4.0563 1.7075 5.7906
1.5330 1.7075 3.7327
3.6757 5.1225 5.3248
1.3936 5.1225 0.5502
3.8151 1.7075 8.5073
0.2122 5.1225 1.1017
0.8865 1.7075 5.1444
1.1141 0.4594 2.8996
1.1141 2.9556 2.8996
1.4898 5.1225 8.3173
2.1198 5.1225 5.1539
2.4508 5.1225 1.3172
2.7580 1.7075 7.7404
3.0890 1.7075 3.9036
3.7189 1.7075 0.7403
4.0946 3.8744 6.1579
4.0946 6.3706 6.1579
4.3222 5.1225 3.9131
4.9965 1.7075 7.9558
```

Peak list (6 most intense, 10 to 90 degrees two-theta, low angle first)
| Position (°2θ) | d_spacing | I/Imax | (hkl) |
| --- | --- | --- | --- |
| 19.6 | 4.534 | 28 | 1 0 -1 |
| 26.1 | 3.415 | 61 | 0 2 0 |
| 32.8 | 2.727 | 100 | 0 2 2 |
| 34.2 | 2.618 | 78 | 2 0 0 |
| 48.2 | 1.888 | 48 | 0 2 4 |
| 53.7 | 1.708 | 27 | 0 4 0 |

---

Record 5
Computed X-ray diffraction stick pattern
Compound: Na5Mn2P2C2O14
Radiation: Cu Kα (weighted mean of Kα1 and Kα2)
Structure: DFT lattice parameters and positions (PBE+U)
Intensities are scaled so that the largest is 100.

Structure:
```
Na5Mn2P2C2O14
1.0
5.2791 0.0000 0.0000
-0.0189 6.6135 0.0000
-0.0566 -0.5351 9.0801
Na Mn P C O
5 2 2 2 14
Cartesian
0.0000 0.0000 0.0000
-0.0242 2.8096 9.0353
0.1756 1.2421 5.9055
2.4955 4.6195 7.3767
2.6177 3.2051 4.3440
0.1814 5.0051 3.5231
2.5286 1.6583 0.8598
2.9507 4.9415 1.4392
5.0267 1.6794 2.8834
2.7436 1.3451 7.2858
5.1517 4.6880 6.1885
-0.0126 4.4654 7.4639
0.0419 0.4170 3.7279
0.1748 2.8847 3.7719
0.4913 1.6609 1.5213
0.9650 4.9307 5.4955
1.6455 1.1154 8.0028
2.1824 4.8802 2.7539
2.6141 3.7408 0.4855
2.6132 6.2047 0.5737
2.6288 1.7549 6.0910
3.4983 1.7987 2.5924
3.8912 1.1441 7.8704
4.0213 4.7049 5.5851
4.5029 4.9372 1.6888
```

Peak list (6 most intense, 10 to 90 degrees two-theta, low angle first)
| Position (°2θ) | d_spacing | I/Imax | (hkl) |
| --- | --- | --- | --- |
| 19.4 | 4.576 | 49 | 1 0 -1 |
| 25.8 | 3.453 | 35 | 1 0 -2 |
| 27.0 | 3.301 | 99 | 0 2 0 |
| 32.6 | 2.748 | 30 | 0 2 -2 |
| 33.9 | 2.641 | 100 | 2 0 0 |
| 34.1 | 2.633 | 40 | 1 0 -3 |